This entry pairs a crystal structure of CaMn2Cl2O2 with its theoretical powder diffractogram. Radiation: Cu Kα. Structure: a structure optimized by DFT (GGA+U).

Largest 10 diffraction maxima, most intense first, 10 to 90 degrees two-theta:
- d = 2.377 Å, 37.8 deg, I = 100, (3 1 -1)
- d = 2.697 Å, 33.2 deg, I = 93, (2 0 2)
- d = 5.785 Å, 15.3 deg, I = 55, (2 0 0)
- d = 1.793 Å, 50.9 deg, I = 39, (5 1 1)
- d = 3.202 Å, 27.9 deg, I = 26, (1 1 0)
- d = 1.774 Å, 51.5 deg, I = 25, (1 1 -3)
- d = 6.313 Å, 14.0 deg, I = 23, (0 0 1)
- d = 1.417 Å, 65.9 deg, I = 21, (2 2 2)
- d = 2.228 Å, 40.5 deg, I = 20, (1 1 2)
- d = 2.877 Å, 31.1 deg, I = 17, (1 1 -1)

Cell and atoms:
Cell lengths 11.595, 3.332, 6.327 Å; angles 90.00, 93.80, 90.00 degrees
Space group C2/m (No. 12)
Symmetry-distinct sites (fractional):
Ca  0.000  0.000  0.000
Mn  0.236  0.000  0.793
Cl  0.130  0.000  0.393
O  0.141  0.500  0.925